Structure and computed powder X-ray diffraction pattern of CaTl4Ni4O12 (a structure optimized by DFT (GGA+U); CuKα).

Main lines, low angle first (5 to 70 degrees two-theta):
h k l	2θ/deg	I_rel
1 1 -1	24.06	723
0 2 -1	28.81	695
0 2 1	30.65	688
-1 1 2	31.76	1000
1 1 2	32.60	855
2 0 0	33.25	996

a b c (Å): 5.394 6.531 7.902
angles (deg): 94.85 90.24 92.51
Fractional coordinates of all 21 atoms:
Ca 0.000 0.000 0.000
Tl 0.487 0.165 0.711
Tl 0.487 0.936 0.279
Tl 0.964 0.466 0.214
Tl 0.967 0.720 0.635
Ni 0.453 0.498 0.473
Ni 0.500 0.565 0.969
Ni 0.978 0.122 0.486
Ni 0.998 0.389 0.814
O 0.093 0.076 0.711
O 0.186 0.688 0.405
O 0.199 0.363 0.012
O 0.301 0.212 0.426
O 0.310 0.506 0.724
O 0.371 0.854 0.027
O 0.607 0.580 0.251
O 0.692 0.943 0.532
O 0.720 0.276 0.924
O 0.804 0.380 0.586
O 0.848 0.678 0.891
O 0.870 0.123 0.264